The following is a computed XRD peak list of Ba2Fe2O5. It was derived from the GGA+U geometry in the Materials Project, using Cu Kα (weighted mean of Kα1 and Kα2).
Lines closer than 0.1° are merged.

Crystal structure
Lattice parameters (Å, degrees): 4.0299 4.0299 8.2607 90.00 90.00 90.00
Space group P4/mmm (No. 123)
Asymmetric unit:
Ba 0.0000 0.0000 0.0000
Ba 0.0000 0.0000 0.5000
Fe 0.5000 0.5000 0.2320
O 0.0000 0.5000 0.2717
O 0.5000 0.5000 0.0000

Peak list (8 most intense, 2θ = 15–90°, by angle)
(1 0 2), d = 2.884 Å, rel. 100; (1 1 0), d = 2.850 Å, rel. 40; (1 1 2), d = 2.346 Å, rel. 22; (0 0 4), d = 2.065 Å, rel. 14; (2 0 0), d = 2.015 Å, rel. 28; (1 1 4), d = 1.672 Å, rel. 16; (2 1 2), d = 1.652 Å, rel. 37; (2 0 4), d = 1.442 Å, rel. 16